Record 1
For Rb2Sn2AsSe2, DFT lattice parameters and positions (PBE) gives the theoretical X-ray powder pattern in this record (a wavelength of 1.5418 Å).
Peak positions follow from Bragg's law for the DFT cell and can differ from measured ones.

Crystal structure
```
data_Rb2Sn2AsSe2
_chemical_formula_sum 'Rb2 Sn2 As1 Se2'
_space_group_name_H-M_alt 'P 1'
_space_group_IT_number 1
_space_group_name_Hall 'P 1'
_cell_length_a 7.994
_cell_length_b 7.994
_cell_length_c 7.546
_cell_angle_alpha 107.69
_cell_angle_beta 107.69
_cell_angle_gamma 38.46
loop_
_atom_site_label
_atom_site_fract_x
_atom_site_fract_y
_atom_site_fract_z
_atom_site_occupancy
Rb1 0.117 0.117 0.289 1
Rb2 0.883 0.883 0.711 1
Sn1 0.352 0.352 0.111 1
Sn2 0.648 0.648 0.889 1
As1 0.500 0.500 0.000 1
Se1 0.200 0.200 0.783 1
Se2 0.800 0.800 0.217 1
```

Peak list (6 most intense, 2θ from 10° to 90°, low angle first)
2θ/deg  I_rel
12.39  100.0
22.99  57.4
25.31  72.1
31.39  52.4
34.05  50.9
45.45  38.7



Record 2
For RbTlAsSe, DFT lattice parameters and positions (PBE) gives the theoretical X-ray powder pattern in this record (a wavelength of 1.5418 Å).
Peak positions follow from Bragg's law for the DFT cell and can differ from measured ones.

Crystal structure
```
data_RbTlAsSe
_chemical_formula_sum 'Rb1 Tl1 As1 Se1'
_space_group_name_H-M_alt 'P 1'
_space_group_IT_number 1
_space_group_name_Hall 'P 1'
_cell_length_a 4.817
_cell_length_b 6.558
_cell_length_c 6.558
_cell_angle_alpha 42.04
_cell_angle_beta 90.00
_cell_angle_gamma 90.00
loop_
_atom_site_label
_atom_site_fract_x
_atom_site_fract_y
_atom_site_fract_z
_atom_site_occupancy
Rb1 0.000 0.000 0.000 1
Tl1 0.500 0.285 0.285 1
As1 0.500 0.627 0.627 1
Se1 0.000 0.712 0.712 1
```

Peak list (6 most intense, 2θ from 10° to 90°, low angle first)
2θ/deg  I_rel
14.47  42.9
23.50  40.2
27.48  100.0
28.96  72.8
34.54  55.5
47.93  36.3



Record 3
For Rb2TlAsSe4, DFT lattice parameters and positions (PBE) gives the theoretical X-ray powder pattern in this record (a wavelength of 1.5418 Å).
Peak positions follow from Bragg's law for the DFT cell and can differ from measured ones.

Crystal structure
```
data_Rb2TlAsSe4
_chemical_formula_sum 'Rb4 Tl2 As2 Se8'
_space_group_name_H-M_alt 'P 1'
_space_group_IT_number 1
_space_group_name_Hall 'P 1'
_cell_length_a 14.139
_cell_length_b 12.472
_cell_length_c 8.130
_cell_angle_alpha 83.85
_cell_angle_beta 61.28
_cell_angle_gamma 34.87
loop_
_atom_site_label
_atom_site_fract_x
_atom_site_fract_y
_atom_site_fract_z
_atom_site_occupancy
Rb1 0.058 0.058 0.692 1
Rb2 0.308 0.308 0.942 1
Rb3 0.692 0.692 0.058 1
Rb4 0.942 0.942 0.308 1
Tl1 0.125 0.125 0.125 1
Tl2 0.875 0.875 0.875 1
As1 0.375 0.375 0.375 1
As2 0.625 0.625 0.625 1
Se1 0.028 0.340 0.429 1
Se2 0.297 0.571 0.660 1
Se3 0.340 0.028 0.703 1
Se4 0.429 0.703 0.028 1
Se5 0.571 0.297 0.972 1
Se6 0.660 0.972 0.297 1
Se7 0.703 0.429 0.340 1
Se8 0.972 0.660 0.571 1
```

Peak list (6 most intense, 2θ from 10° to 90°, low angle first)
2θ/deg  I_rel
14.01  91.8
14.73  66.7
22.75  57.2
25.24  63.8
29.20  100.0
35.24  74.4



Record 4
For Rb2TmAsSe4, DFT lattice parameters and positions (PBE) gives the theoretical X-ray powder pattern in this record (a wavelength of 1.5418 Å).
Peak positions follow from Bragg's law for the DFT cell and can differ from measured ones.

Crystal structure
```
data_Rb2TmAsSe4
_chemical_formula_sum 'Rb4 Tm2 As2 Se8'
_space_group_name_H-M_alt 'P 1'
_space_group_IT_number 1
_space_group_name_Hall 'P 1'
_cell_length_a 8.719
_cell_length_b 8.719
_cell_length_c 8.719
_cell_angle_alpha 120.21
_cell_angle_beta 119.80
_cell_angle_gamma 89.99
loop_
_atom_site_label
_atom_site_fract_x
_atom_site_fract_y
_atom_site_fract_z
_atom_site_occupancy
Rb1 0.000 0.000 0.000 1
Rb2 0.500 0.000 0.000 1
Rb3 0.500 0.000 0.500 1
Rb4 0.500 0.500 0.500 1
Tm1 0.000 0.000 0.500 1
Tm2 0.000 0.500 0.000 1
As1 0.000 0.500 0.500 1
As2 0.500 0.500 0.000 1
Se1 0.194 0.729 0.465 1
Se2 0.233 0.274 0.542 1
Se3 0.233 0.691 0.958 1
Se4 0.237 0.271 0.965 1
Se5 0.763 0.729 0.035 1
Se6 0.767 0.309 0.042 1
Se7 0.767 0.726 0.458 1
Se8 0.806 0.271 0.535 1
```

Peak list (6 most intense, 2θ from 10° to 90°, low angle first)
2θ/deg  I_rel
12.42  19.8
28.97  100.0
41.30  11.9
41.43  45.4
51.23  11.6
68.01  15.5